# Rb3ZnAg2F9
Theoretical powder diffractogram, Cu Kα. Input: the PBE geometry in Alexandria.
No peak broadening, texture or thermal motion is included.

Peak list (10 most intense, 10 to 90 degrees two-theta, by angle)
- hkl 1 0 1, 20.41 deg, I 5.6
- hkl 1 1 0, 29.01 deg, I 100.0
- hkl 0 0 3, 35.73 deg, I 3.4
- hkl 2 0 2, 41.50 deg, I 39.6
- hkl 3 0 0, 51.43 deg, I 39.6
- hkl 2 2 0, 60.13 deg, I 23.8
- hkl 3 1 2, 68.13 deg, I 17.4
- hkl 0 4 2, 75.73 deg, I 5.7
- hkl 1 3 4, 82.98 deg, I 10.1
- hkl 4 1 0, 83.06 deg, I 10.2

Atomic structure:
abc: 6.152 6.152 7.545
angles: 90.00 90.00 120.00
Fractional coordinates of all 15 atoms:
1 Rb 0.000 0.000 0.000
2 Rb 0.333 0.667 0.665
3 Rb 0.667 0.333 0.335
4 Zn 0.000 0.000 0.500
5 Ag 0.333 0.667 0.174
6 Ag 0.667 0.333 0.826
7 F 0.000 0.500 0.000
8 F 0.158 0.315 0.344
9 F 0.158 0.842 0.344
10 F 0.315 0.158 0.656
11 F 0.500 0.000 0.000
12 F 0.500 0.500 0.000
13 F 0.685 0.842 0.344
14 F 0.842 0.158 0.656
15 F 0.842 0.685 0.656